# TaAuSe
Simulated powder diffraction line list, a wavelength of 1.5418 Å. Input: DFT lattice parameters and positions (PBE).
Lines closer than 0.1° are merged.

Most intense lines, 2θ from 15° to 90°, sorted by position:
| index | Position (°2θ) | I/Imax |
| --- | --- | --- |
| 1 0 1 | 23.97 | 21 |
| 2 0 0 | 31.64 | 45 |
| 1 1 -1 | 32.22 | 100 |
| 1 1 -2 | 38.57 | 96 |
| 0 0 3 | 41.79 | 23 |
| 2 1 0 | 42.10 | 19 |
| 2 0 -3 | 43.82 | 33 |
| 1 1 2 | 45.66 | 71 |
| 3 1 -1 | 53.83 | 31 |
| 0 2 0 | 55.76 | 19 |

Structure:
Lattice parameters (Å, degrees): 5.970 3.297 6.846 90.00 108.69 90.00
Fractional positions:
Ta (0.205, 0.250, 0.004)
Ta (0.795, 0.750, 0.996)
Au (0.330, 0.750, 0.725)
Au (0.670, 0.250, 0.275)
Se (0.192, 0.750, 0.295)
Se (0.808, 0.250, 0.705)